[1]
Theoretical XRD peak list of LaHfIn for Cu Kα X-rays, from a DFT-relaxed cell (GGA-PBE, Alexandria).
No peak broadening, texture or thermal motion is included.

Principal peaks in the range 2θ from 15° to 90°, low angle first:
2θ (°)	I (rel.)	h k l
32.04	100	1 1 -1
32.39	46	0 0 6
33.20	31	0 1 -2
34.01	79	0 1 3
35.61	22	0 1 -3
35.72	21	1 0 -3
36.72	39	1 1 -3
37.98	22	0 0 7
38.85	19	1 0 -4
39.03	20	1 1 5
54.47	20	1 -1 0
54.75	20	2 1 1

Structural model:
```
data_LaHfIn
_chemical_formula_sum 'La2 Hf2 In2'
_symmetry_space_group_name_H-M 'P 1'
_symmetry_Int_Tables_number 1
_cell_length_a 3.3534
_cell_length_b 3.3601
_cell_length_c 16.6863
_cell_angle_alpha 84.54
_cell_angle_beta 84.43
_cell_angle_gamma 60.25
loop_
_symmetry_equiv_pos_as_xyz
'x,y,z'
loop_
_atom_site_label
_atom_site_type_symbol
_atom_site_fract_x
_atom_site_fract_y
_atom_site_fract_z
La1 La 0.0000 0.0000 0.0000
La2 La 0.4076 0.4206 0.7901
Hf1 Hf 0.1825 0.1975 0.4663
Hf2 Hf 0.5625 0.5761 0.3244
In1 In 0.2786 0.2860 0.1710
In2 In 0.7990 0.8139 0.6185
```



[2]
Theoretical XRD peak list of LiPmGaPt3 for Cu Kα X-rays, from a DFT-relaxed cell (GGA-PBE, Alexandria).
No peak broadening, texture or thermal motion is included.

Principal peaks in the range 2θ from 15° to 90°, low angle first:
2θ (°)	I (rel.)	h k l
20.57	32	0 2 1
31.63	39	0 4 1
33.93	100	0 2 2
34.25	96	2 2 0
41.82	76	0 6 0
42.11	42	2 4 0
44.53	85	2 0 2
45.06	30	2 4 1
62.71	40	2 6 2
75.02	24	2 2 4
75.57	19	4 2 2
80.52	22	4 6 0

Structural model:
```
data_LiPmGaPt3
_chemical_formula_sum 'Li4 Pm4 Ga4 Pt12'
_symmetry_space_group_name_H-M 'C m c m'
_symmetry_Int_Tables_number 63
_symmetry_space_group_name_Hall '-C 2c 2'
_cell_length_a 5.7238
_cell_length_b 12.9716
_cell_length_c 5.7858
_cell_angle_alpha 90.00
_cell_angle_beta 90.00
_cell_angle_gamma 90.00
loop_
_atom_site_label
_atom_site_type_symbol
_atom_site_fract_x
_atom_site_fract_y
_atom_site_fract_z
Li1 Li 0.0000 0.1180 0.2500
Pm1 Pm 0.0000 0.3295 0.2500
Ga1 Ga 0.0000 0.3816 0.7500
Pt1 Pt 0.0000 0.1882 0.7500
Pt2 Pt 0.2383 0.0000 0.0000
```